[1]
Diffraction record for TmMg16Al12. The powder diffraction line list is calculated, not measured: it uses the GGA-PBE geometry in the Materials Project and Cu Kα (weighted mean of Kα1 and Kα2).
Lines closer than 0.1° are merged.

Principal peaks in the range 2θ from 15° to 90°, low angle first:
two_theta	d [Å]	I/Imax
16.79	5.280	31.5
20.47	4.340	34.6
26.37	3.379	22.1
35.35	2.539	57.2
35.51	2.528	29.5
36.00	2.495	96.8
36.80	2.442	100.0
39.38	2.288	51.1
41.60	2.171	39.5
64.41	1.447	28.5

Atomic structure:
```
TmMg16Al12
1.0
7.6171 4.3977 2.9366
-7.6171 4.3977 2.9366
0.0000 -8.7955 2.9366
Tm Mg Al
1 16 12
Direct
0.0000 0.0000 0.0000 Tm
0.0576 0.0576 0.6552 Mg
0.0576 0.6552 0.0576 Mg
0.0926 0.7626 0.7626 Mg
0.3706 0.6831 0.9783 Mg
0.3706 0.9783 0.6831 Mg
0.3749 0.3749 0.3749 Mg
0.3770 0.3770 0.7172 Mg
0.3770 0.7172 0.3770 Mg
0.6552 0.0576 0.0576 Mg
0.6831 0.3706 0.9783 Mg
0.6831 0.9783 0.3706 Mg
0.7172 0.3770 0.3770 Mg
0.7626 0.0926 0.7626 Mg
0.7626 0.7626 0.0926 Mg
0.9783 0.3706 0.6831 Mg
0.9783 0.6831 0.3706 Mg
0.0082 0.1868 0.3686 Al
0.0082 0.3686 0.1868 Al
0.1868 0.0082 0.3686 Al
0.1868 0.3686 0.0082 Al
0.1975 0.5621 0.5621 Al
0.3686 0.0082 0.1868 Al
0.3686 0.1868 0.0082 Al
0.5621 0.1975 0.5621 Al
0.5621 0.5621 0.1975 Al
0.5635 0.7427 0.7427 Al
0.7427 0.5635 0.7427 Al
0.7427 0.7427 0.5635 Al
```

---

[2]
Diffraction record for BaCa2I6. The powder diffraction line list is calculated, not measured: it uses the GGA-PBE geometry in the Materials Project and Cu Kα (weighted mean of Kα1 and Kα2).
Lines closer than 0.1° are merged.

Principal peaks in the range 2θ from 15° to 90°, low angle first:
two_theta	d [Å]	I/Imax
22.28	3.990	19.5
22.89	3.885	24.7
25.09	3.549	100.0
27.28	3.269	84.4
32.15	2.784	35.0
32.16	2.783	35.6
37.54	2.396	23.9
41.57	2.172	19.0
42.08	2.147	16.6
47.04	1.932	15.6

Atomic structure:
```
BaCa2I6
1.0
8.6577 0.0000 0.0000
0.0000 7.7695 0.0000
-1.3843 0.0000 23.9333
Ba Ca I
4 8 24
Direct
0.1452 0.0313 0.4037 Ba
0.1452 0.4687 0.9037 Ba
0.8548 0.5313 0.0963 Ba
0.8548 0.9687 0.5963 Ba
0.2534 0.0122 0.7474 Ca
0.2534 0.4878 0.2474 Ca
0.3753 0.5317 0.5885 Ca
0.3753 0.9683 0.0885 Ca
0.6247 0.0317 0.9115 Ca
0.6247 0.4683 0.4115 Ca
0.7466 0.5122 0.7526 Ca
0.7466 0.9878 0.2526 Ca
0.0366 0.7092 0.7005 I
0.0366 0.7908 0.2005 I
0.1340 0.7360 0.0234 I
0.1340 0.7640 0.5234 I
0.1768 0.2246 0.6410 I
0.1768 0.2754 0.1410 I
0.3437 0.6818 0.3560 I
0.3437 0.8182 0.8560 I
0.3846 0.2163 0.9853 I
0.3846 0.2837 0.4853 I
0.4760 0.2077 0.3120 I
0.4760 0.2923 0.8120 I
0.5240 0.7077 0.1880 I
0.5240 0.7923 0.6880 I
0.6154 0.7163 0.5147 I
0.6154 0.7837 0.0147 I
0.6563 0.1818 0.1440 I
0.6563 0.3182 0.6440 I
0.8232 0.7246 0.8590 I
0.8232 0.7754 0.3590 I
0.8660 0.2360 0.4766 I
0.8660 0.2640 0.9766 I
0.9634 0.2092 0.7995 I
0.9634 0.2908 0.2995 I
```

---

[3]
Diffraction record for CaAg2O4. The powder diffraction line list is calculated, not measured: it uses the GGA-PBE geometry in the Materials Project and Cu Kα (weighted mean of Kα1 and Kα2).
Lines closer than 0.1° are merged.

Principal peaks in the range 2θ from 15° to 90°, low angle first:
two_theta	d [Å]	I/Imax
16.24	5.458	98.1
25.76	3.459	100.0
28.23	3.161	55.9
32.82	2.729	59.6
33.88	2.646	81.0
38.58	2.333	31.5
42.25	2.139	34.2
51.59	1.772	64.5
52.94	1.730	21.1
55.21	1.664	23.7

Atomic structure:
```
CaAg2O4
1.0
-3.0254 3.0254 6.3225
3.0254 -3.0254 6.3225
3.0254 3.0254 -6.3225
Ca Ag O
2 4 8
Direct
0.3750 0.6250 0.7500 Ca
0.6250 0.3750 0.2500 Ca
0.0000 0.0000 0.0000 Ag
0.0000 0.0000 0.5000 Ag
0.0000 0.5000 0.0000 Ag
0.5000 0.0000 0.5000 Ag
0.2230 0.7477 0.4753 O
0.2276 0.2523 0.9753 O
0.2523 0.2276 0.4753 O
0.2523 0.7770 0.0247 O
0.7477 0.2230 0.9753 O
0.7477 0.7724 0.5247 O
0.7724 0.7477 0.0247 O
0.7770 0.2523 0.5247 O
```

---

[4]
Diffraction record for MgCuP. The powder diffraction line list is calculated, not measured: it uses the GGA-PBE geometry in the Materials Project and Cu Kα (weighted mean of Kα1 and Kα2).
Lines closer than 0.1° are merged.

Principal peaks in the range 2θ from 15° to 90°, low angle first:
two_theta	d [Å]	I/Imax
18.43	4.815	100.0
36.12	2.487	95.4
37.03	2.428	85.6
38.33	2.348	50.0
43.52	2.080	31.2
44.40	2.040	32.6
44.80	2.023	71.0
47.29	1.922	85.3
49.07	1.857	34.0
49.86	1.829	41.1

Atomic structure:
```
MgCuP
1.0
6.5217 0.0000 0.0000
0.0000 3.8444 0.0000
0.0000 0.0000 7.1380
Mg Cu P
4 4 4
Direct
0.0312 0.2500 0.1795 Mg
0.4688 0.7500 0.6795 Mg
0.5312 0.2500 0.3205 Mg
0.9688 0.7500 0.8205 Mg
0.1276 0.2500 0.5614 Cu
0.3724 0.7500 0.0614 Cu
0.6276 0.2500 0.9386 Cu
0.8724 0.7500 0.4386 Cu
0.2462 0.7500 0.3779 P
0.2538 0.2500 0.8779 P
0.7462 0.7500 0.1221 P
0.7538 0.2500 0.6221 P
```

---

[5]
Diffraction record for MgTi2O4. The powder diffraction line list is calculated, not measured: it uses the GGA-PBE geometry in the Materials Project and Cu Kα (weighted mean of Kα1 and Kα2).
Lines closer than 0.1° are merged.

Principal peaks in the range 2θ from 15° to 90°, low angle first:
two_theta	d [Å]	I/Imax
17.98	4.934	88.5
29.62	3.016	14.2
34.72	2.584	100.0
35.02	2.562	52.6
42.13	2.145	60.4
42.64	2.120	29.3
55.70	1.650	34.4
56.32	1.634	15.7
61.11	1.517	31.8
61.50	1.508	62.7

Atomic structure:
```
MgTi2O4
1.0
6.0661 0.0000 0.0000
0.0000 6.0661 0.0000
0.0000 0.0000 8.4810
Mg Ti O
4 8 16
Direct
0.2453 0.2453 0.0000 Mg
0.2547 0.7453 0.2500 Mg
0.7453 0.2547 0.7500 Mg
0.7547 0.7547 0.5000 Mg
0.0088 0.2488 0.3804 Ti
0.2488 0.0088 0.6196 Ti
0.2512 0.5088 0.6304 Ti
0.4912 0.7488 0.8696 Ti
0.5088 0.2512 0.3696 Ti
0.7488 0.4912 0.1304 Ti
0.7512 0.9912 0.1196 Ti
0.9912 0.7512 0.8804 Ti
0.0153 0.2564 0.6206 O
0.0219 0.7549 0.6333 O
0.2436 0.5153 0.8706 O
0.2451 0.9781 0.8667 O
0.2549 0.4781 0.3833 O
0.2564 0.0153 0.3794 O
0.4781 0.2549 0.6167 O
0.4847 0.7564 0.6294 O
0.5153 0.2436 0.1294 O
0.5219 0.7451 0.1167 O
0.7436 0.9847 0.8794 O
0.7451 0.5219 0.8833 O
0.7549 0.0219 0.3667 O
0.7564 0.4847 0.3706 O
0.9781 0.2451 0.1333 O
0.9847 0.7436 0.1206 O
```

---

[6]
Diffraction record for BaBr3. The powder diffraction line list is calculated, not measured: it uses the GGA-PBE geometry in the Materials Project and Cu Kα (weighted mean of Kα1 and Kα2).
Lines closer than 0.1° are merged.

Principal peaks in the range 2θ from 15° to 90°, low angle first:
two_theta	d [Å]	I/Imax
28.53	3.128	33.3
29.81	2.998	22.2
33.14	2.703	100.0
41.73	2.164	17.4
52.90	1.731	17.0
53.53	1.712	24.8
61.21	1.514	22.0
63.86	1.458	14.3
83.27	1.160	9.3
87.50	1.115	12.4

Atomic structure:
```
BaBr3
1.0
6.9226 0.0000 0.0000
-3.4613 5.9951 0.0000
0.0000 0.0000 6.2563
Ba Br
2 6
Direct
0.3333 0.6667 0.2500 Ba
0.6667 0.3333 0.7500 Ba
0.1718 0.3437 0.7500 Br
0.1718 0.8282 0.7500 Br
0.3437 0.1718 0.2500 Br
0.6563 0.8282 0.7500 Br
0.8282 0.1718 0.2500 Br
0.8282 0.6563 0.2500 Br
```